[1]
For ScTi5Ir6, a cell relaxed with GGA-PBE gives the computed powder X-ray diffraction pattern in this record (CuKα).

Structure:
Unit cell a=7.464 b=7.464 c=7.464 alpha=146.92 beta=124.55 gamma=66.11
Sites, in units of the cell vectors:
Sc (0.000, 0.000, 0.000)
Ti (0.157, 0.657, 0.500)
Ti (0.322, 0.322, 0.000)
Ti (0.500, 0.000, 0.500)
Ti (0.678, 0.678, 0.000)
Ti (0.843, 0.343, 0.500)
Ir (0.098, 0.831, 0.267)
Ir (0.276, 0.500, 0.776)
Ir (0.436, 0.169, 0.267)
Ir (0.564, 0.831, 0.733)
Ir (0.724, 0.500, 0.224)
Ir (0.902, 0.169, 0.733)

The 6 most intense peaks (2θ from 10° to 90°), in order of rising 2θ:
2θ = 25.65°, I 27
2θ = 30.02°, I 41
2θ = 39.89°, I 100
2θ = 42.54°, I 22
2θ = 43.39°, I 20
2θ = 76.06°, I 15

---

[2]
For MgMo, a cell relaxed with GGA-PBE gives the computed powder X-ray diffraction pattern in this record (CuKα).

Structure:
Unit cell a=2.763 b=4.518 c=5.638 alpha=90.00 beta=98.76 gamma=90.00
Sites, in units of the cell vectors:
Mg (0.127, 0.250, 0.370)
Mg (0.873, 0.750, 0.630)
Mo (0.414, 0.750, 0.103)
Mo (0.586, 0.250, 0.897)

The 6 most intense peaks (2θ from 10° to 90°), in order of rising 2θ:
2θ = 15.91°, I 88
2θ = 25.38°, I 26
2θ = 37.94°, I 78
2θ = 38.87°, I 38
2θ = 39.86°, I 100
2θ = 56.93°, I 24

---

[3]
For LiAc3Pm2Se6, a cell relaxed with GGA-PBE gives the computed powder X-ray diffraction pattern in this record (CuKα).

Structure:
Unit cell a=7.497 b=7.497 c=7.428 alpha=99.73 beta=99.73 gamma=120.18
Sites, in units of the cell vectors:
Li (0.000, 0.000, 0.000)
Ac (0.168, 0.832, 0.500)
Ac (0.500, 0.500, 0.500)
Ac (0.832, 0.168, 0.500)
Pm (0.334, 0.666, 0.000)
Pm (0.666, 0.334, 0.000)
Se (0.075, 0.399, 0.227)
Se (0.247, 0.247, 0.772)
Se (0.399, 0.075, 0.227)
Se (0.601, 0.925, 0.773)
Se (0.753, 0.753, 0.228)
Se (0.925, 0.601, 0.773)

The 6 most intense peaks (2θ from 10° to 90°), in order of rising 2θ:
2θ = 29.31°, I 100
2θ = 41.70°, I 13
2θ = 41.82°, I 26
2θ = 42.03°, I 24
2θ = 51.77°, I 14
2θ = 60.80°, I 12

---

[4]
For NdSm4Tm3Se8, a cell relaxed with GGA-PBE gives the computed powder X-ray diffraction pattern in this record (CuKα).

Structure:
Unit cell a=8.296 b=8.296 c=8.296 alpha=59.28 beta=59.28 gamma=59.28
Sites, in units of the cell vectors:
Nd (0.000, 0.000, 0.000)
Sm (0.000, 0.000, 0.500)
Sm (0.000, 0.500, 0.000)
Sm (0.500, 0.000, 0.000)
Sm (0.500, 0.500, 0.500)
Tm (0.000, 0.500, 0.500)
Tm (0.500, 0.000, 0.500)
Tm (0.500, 0.500, 0.000)
Se (0.252, 0.252, 0.738)
Se (0.252, 0.738, 0.252)
Se (0.255, 0.255, 0.255)
Se (0.262, 0.748, 0.748)
Se (0.738, 0.252, 0.252)
Se (0.745, 0.745, 0.745)
Se (0.748, 0.262, 0.748)
Se (0.748, 0.748, 0.262)

The 6 most intense peaks (2θ from 10° to 90°), in order of rising 2θ:
2θ = 30.65°, I 100
2θ = 43.65°, I 37
2θ = 44.15°, I 37
2θ = 54.71°, I 19
2θ = 72.10°, I 17
2θ = 72.83°, I 16